CoBi3: theoretical powder diffraction line list (Cu Kα), based on DFT lattice parameters and positions (PBE).
Intensities are scaled so that the largest is 100.

The 6 most intense peaks (5 to 70 degrees two-theta), sorted by position:
3.011 Å, 2θ = 29.67°, I 100, hkl 2 1 0
2.948 Å, 2θ = 30.32°, I 71, hkl 0 0 4
2.837 Å, 2θ = 31.54°, I 79, hkl 0 1 3
2.649 Å, 2θ = 33.84°, I 67, hkl 3 0 2
2.047 Å, 2θ = 44.25°, I 57, hkl 0 2 0
1.682 Å, 2θ = 54.55°, I 51, hkl 3 1 5

```
data_CoBi3
_chemical_formula_sum 'Co4 Bi12'
_cell_length_a 8.8927
_cell_length_b 4.0931
_cell_length_c 11.8048
_cell_angle_alpha 90.00
_cell_angle_beta 90.00
_cell_angle_gamma 90.00
_symmetry_space_group_name_H-M 'P n m a'
_symmetry_Int_Tables_number 62
loop_
_symmetry_equiv_pos_as_xyz
'x,y,z'
'-x,-y,-z'
'-x+1/2,-y,z+1/2'
'x+1/2,y,-z+1/2'
'x+1/2,-y+1/2,-z+1/2'
'-x+1/2,y+1/2,z+1/2'
'-x,y+1/2,-z'
'x,-y+1/2,z'
loop_
_atom_site_label
_atom_site_type_symbol
_atom_site_fract_x
_atom_site_fract_y
_atom_site_fract_z
_atom_site_occupancy
Co1 Co 0.0906 0.2500 0.0205 1
Bi1 Bi 0.0907 0.7500 0.1724 1
Bi2 Bi 0.1208 0.7500 0.5918 1
Bi3 Bi 0.1993 0.7500 0.8958 1
```